Structure and computed powder diffractogram of Sr3LaMn2O8 (a structure optimized by DFT (GGA+U); a wavelength of 1.5418 Å).
Neutral-atom scattering factors, no anomalous dispersion.

Top 10 peaks for 2θ = 10–90°, by angle:
2.852 Å, 31.4 deg, intensity 100.0
2.779 Å, 32.2 deg, intensity 37.8
2.767 Å, 32.4 deg, intensity 37.3
2.075 Å, 43.6 deg, intensity 29.0
2.069 Å, 43.8 deg, intensity 15.2
1.961 Å, 46.3 deg, intensity 40.8
1.662 Å, 55.3 deg, intensity 14.8
1.618 Å, 56.9 deg, intensity 18.7
1.613 Å, 57.1 deg, intensity 18.5
1.426 Å, 65.5 deg, intensity 14.3

Atomic structure:
```
data_Sr3LaMn2O8
_chemical_formula_sum 'Sr12 La4 Mn8 O32'
_cell_length_a 13.646
_cell_length_b 11.068
_cell_length_c 5.558
_cell_angle_alpha 90.00
_cell_angle_beta 114.03
_cell_angle_gamma 90.00
_symmetry_space_group_name_H-M 'C 1 m 1'
_symmetry_Int_Tables_number 8
loop_
_symmetry_equiv_pos_as_xyz
'x,y,z'
'x,-y,z'
'x+1/2,y+1/2,z'
'x+1/2,-y+1/2,z'
loop_
_atom_site_label
_atom_site_fract_x
_atom_site_fract_y
_atom_site_fract_z
Sr1 0.000 0.000 0.000
Sr2 0.000 0.500 0.004
Sr3 0.212 0.250 0.216
Sr4 0.214 0.500 0.714
Sr5 0.215 0.000 0.719
La1 0.496 0.250 0.499
Mn1 0.354 0.000 0.362
Mn2 0.354 0.251 0.859
Mn3 0.355 0.500 0.352
O1 0.015 0.249 0.021
O2 0.017 0.000 0.511
O3 0.017 0.500 0.525
O4 0.187 0.251 0.691
O5 0.197 0.000 0.204
O6 0.198 0.500 0.197
O7 0.358 0.375 0.111
O8 0.359 0.125 0.126
O9 0.359 0.129 0.616
O10 0.360 0.378 0.591
```



Structure and computed powder diffractogram of KUVO6 (a structure optimized by DFT (GGA+U); a wavelength of 1.5418 Å).
Neutral-atom scattering factors, no anomalous dispersion.

Top 10 peaks for 2θ = 10–90°, by angle:
7.348 Å, 12.0 deg, intensity 100.0
6.767 Å, 13.1 deg, intensity 89.5
5.020 Å, 17.7 deg, intensity 26.5
4.933 Å, 18.0 deg, intensity 24.8
4.193 Å, 21.2 deg, intensity 35.6
4.053 Å, 21.9 deg, intensity 27.2
3.674 Å, 24.2 deg, intensity 32.1
3.543 Å, 25.1 deg, intensity 25.4
3.387 Å, 26.3 deg, intensity 40.9
3.377 Å, 26.4 deg, intensity 23.6

Atomic structure:
```
data_KUVO6
_chemical_formula_sum 'K4 U4 V4 O24'
_cell_length_a 6.768
_cell_length_b 8.106
_cell_length_c 14.698
_cell_angle_alpha 90.00
_cell_angle_beta 90.96
_cell_angle_gamma 90.00
_symmetry_space_group_name_H-M 'P 1 21/c 1'
_symmetry_Int_Tables_number 14
loop_
_symmetry_equiv_pos_as_xyz
'x,y,z'
'-x,-y,-z'
'-x,y+1/2,-z+1/2'
'x,-y+1/2,z+1/2'
loop_
_atom_site_label
_atom_site_fract_x
_atom_site_fract_y
_atom_site_fract_z
K1 0.022 0.166 0.265
U1 0.489 0.065 0.781
V1 0.314 0.008 0.535
O1 0.078 0.001 0.465
O2 0.249 0.603 0.751
O3 0.250 0.033 0.839
O4 0.305 0.017 0.654
O5 0.431 0.188 0.240
O6 0.499 0.155 0.490
```



Question: Which formula does entry 1 have?
Answer: Sr3LaMn2O8